Starting from DFT lattice parameters and positions (PBE), the powder diffractogram of CaCoOs2 was calculated for Cu Kα (λ = 1.5418 Å).
Intensities are scaled so that the largest is 1000.

Lattice parameters (Å, degrees): 5.712 5.712 5.712 152.43 133.78 54.67
Element x y z (fractional)
Ca: 0.000 0.000 0.000
Co: 0.500 0.500 0.000
Os: 0.287 0.787 0.500
Os: 0.713 0.213 0.500

Largest 12 diffraction maxima, in order of rising 2θ, 2θ from 5° to 70°:
2θ = 17.48°, I 624; 2θ = 21.67°, I 168; 2θ = 33.17°, I 250; 2θ = 35.38°, I 239; 2θ = 38.69°, I 251; 2θ = 40.23°, I 353; 2θ = 42.63°, I 178; 2θ = 42.75°, I 1000; 2θ = 44.16°, I 129; 2θ = 49.28°, I 229; 2θ = 54.63°, I 135; 2θ = 60.05°, I 130


Starting from DFT lattice parameters and positions (PBE), the powder diffractogram of LiAcP2O6 was calculated for Cu Kα (λ = 1.5418 Å).
Intensities are scaled so that the largest is 1000.

Lattice parameters (Å, degrees): 6.716 6.716 6.716 47.11 47.11 47.11
Element x y z (fractional)
Li: 0.000 0.000 0.000
Ac: 0.500 0.500 0.500
P: 0.240 0.240 0.240
P: 0.760 0.760 0.760
O: 0.017 0.748 0.455
O: 0.252 0.545 0.983
O: 0.455 0.017 0.748
O: 0.545 0.983 0.252
O: 0.748 0.455 0.017
O: 0.983 0.252 0.545

Largest 12 diffraction maxima, in order of rising 2θ, 2θ from 5° to 70°:
2θ = 14.87°, I 605; 2θ = 19.73°, I 1000; 2θ = 21.55°, I 348; 2θ = 27.69°, I 968; 2θ = 31.57°, I 303; 2θ = 33.38°, I 370; 2θ = 36.73°, I 594; 2θ = 40.30°, I 208; 2θ = 43.91°, I 196; 2θ = 45.02°, I 238; 2θ = 45.49°, I 238; 2θ = 56.26°, I 208


Starting from DFT lattice parameters and positions (PBE), the powder diffractogram of TlIn5Hg3 was calculated for Cu Kα (λ = 1.5418 Å).
Intensities are scaled so that the largest is 1000.

Lattice parameters (Å, degrees): 6.963 8.521 9.191 102.03 108.32 99.21
Element x y z (fractional)
Tl: 0.000 0.000 0.000
Tl: 0.500 0.000 0.000
In: 0.065 0.908 0.646
In: 0.098 0.737 0.310
In: 0.165 0.649 0.969
In: 0.283 0.404 0.328
In: 0.401 0.258 0.673
In: 0.599 0.742 0.327
In: 0.717 0.596 0.672
In: 0.835 0.351 0.031
In: 0.902 0.263 0.690
In: 0.935 0.092 0.354
Hg: 0.226 0.582 0.643
Hg: 0.332 0.334 0.996
Hg: 0.431 0.074 0.341
Hg: 0.569 0.926 0.659
Hg: 0.668 0.666 0.004
Hg: 0.774 0.418 0.357

Largest 12 diffraction maxima, in order of rising 2θ, 2θ from 5° to 70°:
2θ = 31.96°, I 828; 2θ = 32.02°, I 1000; 2θ = 32.45°, I 991; 2θ = 33.25°, I 187; 2θ = 34.23°, I 895; 2θ = 35.28°, I 718; 2θ = 35.56°, I 736; 2θ = 44.72°, I 320; 2θ = 46.99°, I 241; 2θ = 52.83°, I 250; 2θ = 55.45°, I 199; 2θ = 60.47°, I 174


Starting from DFT lattice parameters and positions (PBE), the powder diffractogram of La3TcAu was calculated for Cu Kα (λ = 1.5418 Å).
Intensities are scaled so that the largest is 1000.

Lattice parameters (Å, degrees): 7.892 6.808 10.424 90.00 90.03 90.00
Element x y z (fractional)
La: 0.123 0.002 0.251
La: 0.123 0.498 0.751
La: 0.286 0.571 0.434
La: 0.286 0.929 0.934
La: 0.288 0.071 0.566
La: 0.288 0.429 0.066
La: 0.712 0.571 0.934
La: 0.712 0.929 0.434
La: 0.714 0.071 0.066
La: 0.714 0.429 0.566
La: 0.877 0.502 0.249
La: 0.877 0.998 0.749
Tc: 0.000 0.250 0.499
Tc: 0.000 0.250 0.999
Tc: 0.000 0.750 0.001
Tc: 0.000 0.750 0.501
Au: 0.498 0.747 0.697
Au: 0.498 0.753 0.197
Au: 0.502 0.247 0.803
Au: 0.502 0.253 0.303

Largest 12 diffraction maxima, in order of rising 2θ, 2θ from 5° to 70°:
2θ = 27.49°, I 376; 2θ = 28.37°, I 262; 2θ = 29.84°, I 335; 2θ = 31.04°, I 870; 2θ = 31.32°, I 337; 2θ = 33.43°, I 1000; 2θ = 34.81°, I 621; 2θ = 36.93°, I 253; 2θ = 38.33°, I 520; 2θ = 38.72°, I 253; 2θ = 58.81°, I 248; 2θ = 59.74°, I 216


Starting from DFT lattice parameters and positions (PBE), the powder diffractogram of Pm8Dy4Tm3 was calculated for Cu Kα (λ = 1.5418 Å).
Intensities are scaled so that the largest is 1000.

Lattice parameters (Å, degrees): 9.136 9.136 6.858 110.45 110.45 83.21
Element x y z (fractional)
Pm: 0.202 0.202 0.171
Pm: 0.204 0.796 0.000
Pm: 0.253 0.747 0.500
Pm: 0.256 0.256 0.708
Pm: 0.744 0.744 0.292
Pm: 0.747 0.253 0.500
Pm: 0.796 0.204 0.000
Pm: 0.798 0.798 0.829
Dy: 0.000 0.500 0.000
Dy: 0.500 0.000 0.000
Dy: 0.500 0.500 0.000
Dy: 0.500 0.500 0.500
Tm: 0.000 0.000 0.500
Tm: 0.000 0.500 0.500
Tm: 0.500 0.000 0.500

Largest 12 diffraction maxima, in order of rising 2θ, 2θ from 5° to 70°:
2θ = 26.03°, I 241; 2θ = 29.45°, I 1000; 2θ = 29.58°, I 706; 2θ = 29.94°, I 426; 2θ = 30.50°, I 213; 2θ = 33.03°, I 334; 2θ = 33.97°, I 326; 2θ = 39.72°, I 144; 2θ = 42.14°, I 163; 2θ = 42.23°, I 455; 2θ = 62.24°, I 133; 2θ = 69.31°, I 161


Starting from DFT lattice parameters and positions (PBE), the powder diffractogram of PmGa2IrPt2 was calculated for Cu Kα (λ = 1.5418 Å).
Intensities are scaled so that the largest is 1000.

Lattice parameters (Å, degrees): 9.804 9.804 9.804 156.67 156.67 33.23
Element x y z (fractional)
Pm: 0.000 0.000 0.000
Ga: 0.165 0.165 0.000
Ga: 0.835 0.835 0.000
Ir: 0.500 0.500 0.000
Pt: 0.250 0.750 0.500
Pt: 0.750 0.250 0.500

Largest 12 diffraction maxima, in order of rising 2θ, 2θ from 5° to 70°:
2θ = 9.41°, I 151; 2θ = 18.89°, I 988; 2θ = 26.61°, I 152; 2θ = 33.36°, I 1000; 2θ = 38.33°, I 176; 2θ = 43.32°, I 874; 2θ = 45.78°, I 373; 2θ = 49.94°, I 320; 2θ = 58.99°, I 88; 2θ = 59.20°, I 190; 2θ = 61.19°, I 184; 2θ = 66.74°, I 121


Starting from DFT lattice parameters and positions (PBE), the powder diffractogram of Tb2Al2GaRu5 was calculated for Cu Kα (λ = 1.5418 Å).
Intensities are scaled so that the largest is 1000.

Lattice parameters (Å, degrees): 9.995 9.995 3.342 90.00 90.00 90.00
Element x y z (fractional)
Tb: 0.171 0.329 0.000
Tb: 0.329 0.829 0.000
Tb: 0.671 0.171 0.000
Tb: 0.829 0.671 0.000
Al: 0.129 0.629 0.000
Al: 0.371 0.129 0.000
Al: 0.629 0.871 0.000
Al: 0.871 0.371 0.000
Ga: 0.000 0.000 0.000
Ga: 0.500 0.500 0.000
Ru: 0.000 0.500 0.500
Ru: 0.063 0.805 0.500
Ru: 0.195 0.063 0.500
Ru: 0.305 0.563 0.500
Ru: 0.437 0.305 0.500
Ru: 0.500 0.000 0.500
Ru: 0.563 0.695 0.500
Ru: 0.695 0.437 0.500
Ru: 0.805 0.937 0.500
Ru: 0.937 0.195 0.500

Largest 12 diffraction maxima, in order of rising 2θ, 2θ from 5° to 70°:
2θ = 32.25°, I 197; 2θ = 33.48°, I 502; 2θ = 37.07°, I 858; 2θ = 38.20°, I 286; 2θ = 39.23°, I 1000; 2θ = 40.36°, I 148; 2θ = 42.36°, I 210; 2θ = 54.95°, I 176; 2θ = 56.74°, I 135; 2θ = 65.32°, I 133; 2θ = 66.08°, I 190; 2θ = 68.16°, I 216


Starting from DFT lattice parameters and positions (PBE), the powder diffractogram of Pm2PrErTm2 was calculated for Cu Kα (λ = 1.5418 Å).
Intensities are scaled so that the largest is 1000.

Lattice parameters (Å, degrees): 7.010 9.829 5.643 90.00 90.00 90.00
Element x y z (fractional)
Pm: 0.247 0.167 0.000
Pm: 0.253 0.667 0.500
Pm: 0.747 0.333 0.500
Pm: 0.753 0.833 0.000
Pr: 0.000 0.500 0.000
Pr: 0.500 0.000 0.500
Er: 0.000 0.000 0.500
Er: 0.500 0.500 0.000
Tm: 0.250 0.333 0.500
Tm: 0.250 0.833 0.000
Tm: 0.750 0.167 0.000
Tm: 0.750 0.667 0.500

Largest 12 diffraction maxima, in order of rising 2θ, 2θ from 5° to 70°:
2θ = 31.38°, I 1000; 2θ = 31.58°, I 744; 2θ = 31.71°, I 368; 2θ = 40.96°, I 87; 2θ = 45.06°, I 123; 2θ = 45.19°, I 245; 2θ = 52.20°, I 91; 2θ = 56.11°, I 332; 2θ = 56.29°, I 128; 2θ = 56.41°, I 144; 2θ = 62.32°, I 320; 2θ = 65.94°, I 90


- Which formula does entry 3 have?
  TlIn5Hg3